# 1
The following is a simulated X-ray diffraction stick pattern of Na6Hg23Sb. It was derived from a DFT-relaxed cell (GGA-PBE, Alexandria), using λ = 1.5418 Å (Cu Kα).

Structure:
```
30
Lattice="0.0000 7.3392 7.3392 7.3392 0.0000 7.3392 7.3392 7.3392 0.0000" Properties=species:S:1:pos:R:3 pbc="T T T"
Na 7.3392 7.3392 3.6588
Na 7.3392 3.6588 7.3392
Na 11.0196 7.3392 7.3392
Na 3.6588 7.3392 7.3392
Na 7.3392 11.0196 7.3392
Na 7.3392 7.3392 11.0196
Hg 0.0000 0.0000 0.0000
Hg 3.6696 3.6696 0.0000
Hg 3.6696 0.0000 3.6696
Hg 7.3392 3.6696 3.6696
Hg 9.2316 5.4468 5.4468
Hg 1.9317 1.9317 1.9317
Hg 5.4075 5.4075 1.9317
Hg 5.4075 1.9317 5.4075
Hg 5.4468 5.4468 5.4468
Hg 9.2316 9.2316 5.4468
Hg 9.2316 5.4468 9.2316
Hg 12.7467 9.2709 9.2709
Hg 0.0000 3.6696 3.6696
Hg 3.6696 7.3392 3.6696
Hg 3.6696 3.6696 7.3392
Hg 1.9317 5.4075 5.4075
Hg 5.4468 9.2316 5.4468
Hg 5.4468 5.4468 9.2316
Hg 9.2316 9.2316 9.2316
Hg 9.2709 12.7467 9.2709
Hg 9.2709 9.2709 12.7467
Hg 12.7467 12.7467 12.7467
Hg 5.4468 9.2316 9.2316
Sb 7.3392 7.3392 7.3392
```

The 10 most intense peaks (15 to 90 degrees two-theta), low angle first:
2θ (°), d (Å), intensity
20.97, 4.237, 18
24.25, 3.670, 12
34.57, 2.595, 100
40.78, 2.213, 11
49.69, 1.835, 18
54.50, 1.684, 5
56.04, 1.641, 4
61.94, 1.498, 36
72.91, 1.297, 11
83.26, 1.160, 15


# 2
The following is a simulated X-ray diffraction stick pattern of Na2HgSb3. It was derived from a DFT-relaxed cell (GGA-PBE, Alexandria), using λ = 1.5418 Å (Cu Kα).

Structure:
```
12
Lattice="0.0000 5.3187 9.2500 3.3303 0.0000 9.2500 3.3303 5.3187 0.0000" Properties=species:S:1:pos:R:3 pbc="T T T"
Na 1.6652 2.6593 4.6250
Na 4.9935 5.3187 9.2500
Na 1.6671 5.3187 9.2500
Na 4.9955 7.9780 13.8750
Hg 3.3303 5.3187 3.1088
Hg 3.3303 5.3187 15.3913
Sb 3.3303 2.6768 7.7430
Sb 3.3303 2.6768 10.7570
Sb 3.3303 5.3187 6.1832
Sb 3.3303 5.3187 12.3168
Sb 3.3303 7.9605 7.7430
Sb 3.3303 7.9605 10.7570
```

The 10 most intense peaks (15 to 90 degrees two-theta), low angle first:
2θ (°), d (Å), intensity
19.23, 4.615, 83
26.77, 3.330, 61
33.17, 2.701, 88
33.60, 2.668, 96
33.70, 2.659, 48
43.49, 2.081, 100
48.00, 1.896, 19
59.81, 1.546, 20
59.98, 1.542, 20
66.18, 1.412, 40